This entry pairs a crystal structure of Pa3Zn with its theoretical PXRD pattern. Radiation: Cu Kα (weighted mean of Kα1 and Kα2). Structure: a GGA-PBE-relaxed structure.
Kinematic intensities with the Lorentz-polarization factor, no thermal factor.

Principal peaks in the range 2θ from 10° to 90°, low angle first:
h k l	two_theta	I/Imax
1 0 0	19.69	12
1 1 0	27.99	11
1 1 1	34.45	100
2 0 0	39.99	50
2 1 0	44.96	6
2 1 1	49.52	5
2 2 0	57.84	35
3 1 1	69.09	41
2 2 2	72.64	12
4 0 0	86.30	6

Structural model:
a = 4.509 Å, b = 4.509 Å, c = 4.509 Å
α = 90.00°, β = 90.00°, γ = 90.00°
Space group Pm-3m (No. 221)
Unique sites:
Pa: 0.000 0.000 0.500
Zn: 0.500 0.500 0.500

This entry pairs a crystal structure of Mn5Si3 with its theoretical PXRD pattern. Radiation: Cu Kα (weighted mean of Kα1 and Kα2). Structure: a GGA-PBE-relaxed structure.
Kinematic intensities with the Lorentz-polarization factor, no thermal factor.

Principal peaks in the range 2θ from 10° to 90°, low angle first:
h k l	two_theta	I/Imax
0 0 3	20.91	100
1 1 -4	37.23	56
2 1 -3	40.23	35
3 0 0	41.59	43
0 0 6	42.52	72
1 1 -5	43.10	59
2 1 4	44.58	54
3 0 -3	47.00	54
1 2 3	47.83	55
2 1 5	49.75	48

Structural model:
a = 6.514 Å, b = 4.500 Å, c = 12.748 Å
α = 90.00°, β = 90.06°, γ = 90.00°
Space group P2_1/m (No. 11)
Unique sites:
Mn: 0.000 0.000 0.153
Mn: 0.288 0.250 0.000
Mn: 0.365 0.750 0.135
Mn: 0.366 0.750 0.866
Si: 0.109 0.750 0.000
Si: 0.299 0.250 0.198
Si: 0.300 0.250 0.802

This entry pairs a crystal structure of Ca11GaSb9 with its theoretical PXRD pattern. Radiation: Cu Kα (weighted mean of Kα1 and Kα2). Structure: a GGA-PBE-relaxed structure.
Kinematic intensities with the Lorentz-polarization factor, no thermal factor.

Principal peaks in the range 2θ from 10° to 90°, low angle first:
h k l	two_theta	I/Imax
1 2 3	22.56	51
2 1 3	22.93	47
3 1 0	23.56	35
1 4 1	29.98	22
2 3 3	30.64	54
3 3 0	31.12	76
4 1 1	31.42	27
0 0 6	31.86	100
5 2 3	43.84	23
3 3 6	45.18	36

Structural model:
a = 11.875 Å, b = 12.529 Å, c = 16.834 Å
α = 90.00°, β = 90.00°, γ = 90.00°
Space group Iba2 (No. 45)
Unique sites:
Ca: 0.000 0.000 0.167
Ca: 0.073 0.277 0.181
Ca: 0.092 0.273 0.500
Ca: 0.158 0.173 0.842
Ca: 0.181 0.447 0.715
Ca: 0.182 0.443 0.969
Ga: 0.000 0.000 0.448
Sb: 0.000 0.500 0.090
Sb: 0.036 0.390 0.344
Sb: 0.131 0.116 0.338
Sb: 0.145 0.137 0.030
Sb: 0.176 0.179 0.660

This entry pairs a crystal structure of BaTbO3 with its theoretical PXRD pattern. Radiation: Cu Kα (weighted mean of Kα1 and Kα2). Structure: a GGA-PBE-relaxed structure.
Kinematic intensities with the Lorentz-polarization factor, no thermal factor.

Principal peaks in the range 2θ from 10° to 90°, low angle first:
h k l	two_theta	I/Imax
0 0 2	28.22	19
1 2 1	28.53	100
2 0 2	40.56	22
0 4 0	41.02	10
1 2 3	50.15	18
0 4 2	50.53	26
2 4 0	50.72	9
4 0 0	59.06	16
3 2 3	66.55	8
1 6 3	81.38	13

Structural model:
a = 6.257 Å, b = 8.802 Å, c = 6.324 Å
α = 90.00°, β = 90.00°, γ = 90.00°
Space group Pnma (No. 62)
Unique sites:
Ba: 0.005 0.250 0.011
Tb: 0.000 0.000 0.500
O: 0.003 0.750 0.419
O: 0.245 0.547 0.755

This entry pairs a crystal structure of Sr3SbAs with its theoretical PXRD pattern. Radiation: Cu Kα (weighted mean of Kα1 and Kα2). Structure: a GGA-PBE-relaxed structure.
Kinematic intensities with the Lorentz-polarization factor, no thermal factor.

Principal peaks in the range 2θ from 10° to 90°, low angle first:
h k l	two_theta	I/Imax
1 0 0	14.50	43
1 1 0	20.56	27
1 1 1	25.25	44
2 0 0	29.23	100
2 1 0	32.78	24
2 2 0	41.82	75
3 1 1	49.48	21
2 2 2	51.84	26
4 2 0	68.70	34
4 2 2	76.36	25

Structural model:
a = 6.110 Å, b = 6.110 Å, c = 6.110 Å
α = 90.00°, β = 90.00°, γ = 90.00°
Space group Pm-3m (No. 221)
Unique sites:
Sr: 0.000 0.000 0.500
Sb: 0.000 0.000 0.000
As: 0.500 0.500 0.500